No. 1
# Ba4Cu3ReO12
Calculated powder diffraction line list, λ = 1.5418 Å (Cu Kα). Input: a crystal structure in the Materials Project, relaxed with PBE.
Neutral-atom scattering factors, no anomalous dispersion.

Main lines, sorted by position (2θ = 10–90°):
2θ 15.34, rel. 11
2θ 26.73, rel. 6
2θ 30.96, rel. 100
2θ 38.16, rel. 6
2θ 44.36, rel. 31
2θ 55.08, rel. 39
2θ 64.53, rel. 19
2θ 73.29, rel. 17
2θ 81.66, rel. 6
2θ 89.86, rel. 21

Atomic structure:
```
data_Ba4Cu3ReO12
_chemical_formula_sum 'Ba4 Cu3 Re1 O12'
_cell_length_a 7.074
_cell_length_b 7.074
_cell_length_c 7.074
_cell_angle_alpha 109.47
_cell_angle_beta 109.47
_cell_angle_gamma 109.47
_space_group_name_H-M_alt 'P 1'
_space_group_IT_number 1
_space_group_name_Hall 'P 1'
loop_
_atom_site_label
_atom_site_type_symbol
_atom_site_fract_x
_atom_site_fract_y
_atom_site_fract_z
_atom_site_occupancy
Ba1 Ba 0.000 0.000 0.500 1
Ba2 Ba 0.000 0.500 0.000 1
Ba3 Ba 0.500 0.000 0.000 1
Ba4 Ba 0.500 0.500 0.500 1
Cu1 Cu 0.000 0.500 0.500 1
Cu2 Cu 0.500 0.000 0.500 1
Cu3 Cu 0.500 0.500 0.000 1
Re1 Re 0.000 0.000 0.000 1
O1 O 0.000 0.232 0.232 1
O2 O 0.000 0.768 0.768 1
O3 O 0.232 0.000 0.232 1
O4 O 0.232 0.232 0.000 1
O5 O 0.250 0.500 0.750 1
O6 O 0.250 0.750 0.500 1
O7 O 0.500 0.250 0.750 1
O8 O 0.500 0.750 0.250 1
O9 O 0.750 0.250 0.500 1
O10 O 0.750 0.500 0.250 1
O11 O 0.768 0.000 0.768 1
O12 O 0.768 0.768 0.000 1
```



No. 2
# BaAl2
Calculated powder diffraction line list, λ = 1.5418 Å (Cu Kα). Input: a crystal structure in the Materials Project, relaxed with PBE.
Neutral-atom scattering factors, no anomalous dispersion.

Main lines, sorted by position (2θ = 10–90°):
2θ 17.99, rel. 50
2θ 29.59, rel. 93
2θ 34.84, rel. 100
2θ 46.34, rel. 13
2θ 52.49, rel. 37
2θ 55.95, rel. 33
2θ 61.41, rel. 23
2θ 69.63, rel. 16
2θ 84.99, rel. 19
2θ 87.80, rel. 22

Atomic structure:
```
data_BaAl2
_chemical_formula_sum 'Ba2 Al4'
_cell_length_a 6.039
_cell_length_b 6.039
_cell_length_c 6.039
_cell_angle_alpha 60.00
_cell_angle_beta 60.00
_cell_angle_gamma 60.00
_space_group_name_H-M_alt 'P 1'
_space_group_IT_number 1
_space_group_name_Hall 'P 1'
loop_
_atom_site_label
_atom_site_type_symbol
_atom_site_fract_x
_atom_site_fract_y
_atom_site_fract_z
_atom_site_occupancy
Ba1 Ba 0.125 0.125 0.125 1
Ba2 Ba 0.875 0.875 0.875 1
Al1 Al 0.000 0.500 0.500 1
Al2 Al 0.500 0.000 0.500 1
Al3 Al 0.500 0.500 0.000 1
Al4 Al 0.500 0.500 0.500 1
```



No. 3
# Na3LiTi2F12
Calculated powder diffraction line list, λ = 1.5418 Å (Cu Kα). Input: a crystal structure in the Materials Project, relaxed with PBE.
Neutral-atom scattering factors, no anomalous dispersion.

Main lines, sorted by position (2θ = 10–90°):
2θ 19.23, rel. 24
2θ 19.48, rel. 100
2θ 24.01, rel. 49
2θ 25.91, rel. 20
2θ 30.95, rel. 34
2θ 38.01, rel. 50
2θ 48.85, rel. 41
2θ 49.17, rel. 24
2θ 59.24, rel. 16
2θ 60.99, rel. 19

Atomic structure:
```
data_Na3LiTi2F12
_chemical_formula_sum 'Na6 Li2 Ti4 F24'
_cell_length_a 5.241
_cell_length_b 5.241
_cell_length_c 18.463
_cell_angle_alpha 90.00
_cell_angle_beta 90.00
_cell_angle_gamma 90.00
_space_group_name_H-M_alt 'P 1'
_space_group_IT_number 1
_space_group_name_Hall 'P 1'
loop_
_atom_site_label
_atom_site_type_symbol
_atom_site_fract_x
_atom_site_fract_y
_atom_site_fract_z
_atom_site_occupancy
Na1 Na 0.000 0.000 0.000 1
Na2 Na 0.000 0.500 0.189 1
Na3 Na 0.000 0.500 0.689 1
Na4 Na 0.500 0.000 0.311 1
Na5 Na 0.500 0.000 0.811 1
Na6 Na 0.500 0.500 0.500 1
Li1 Li 0.000 0.000 0.500 1
Li2 Li 0.500 0.500 0.000 1
Ti1 Ti 0.000 0.500 0.376 1
Ti2 Ti 0.000 0.500 0.876 1
Ti3 Ti 0.500 0.000 0.124 1
Ti4 Ti 0.500 0.000 0.624 1
F1 F 0.147 0.701 0.302 1
F2 F 0.150 0.714 0.449 1
F3 F 0.201 0.647 0.802 1
F4 F 0.209 0.210 0.884 1
F5 F 0.210 0.791 0.116 1
F6 F 0.214 0.650 0.949 1
F7 F 0.286 0.150 0.551 1
F8 F 0.290 0.291 0.384 1
F9 F 0.291 0.710 0.616 1
F10 F 0.299 0.147 0.698 1
F11 F 0.350 0.214 0.051 1
F12 F 0.353 0.201 0.198 1
F13 F 0.647 0.799 0.198 1
F14 F 0.650 0.786 0.051 1
F15 F 0.701 0.853 0.698 1
F16 F 0.709 0.290 0.616 1
F17 F 0.710 0.709 0.384 1
F18 F 0.714 0.850 0.551 1
F19 F 0.786 0.350 0.949 1
F20 F 0.790 0.209 0.116 1
F21 F 0.791 0.790 0.884 1
F22 F 0.799 0.353 0.802 1
F23 F 0.850 0.286 0.449 1
F24 F 0.853 0.299 0.302 1
```



No. 4
# Sr4CaS4O16
Calculated powder diffraction line list, λ = 1.5418 Å (Cu Kα). Input: a crystal structure in the Materials Project, relaxed with PBE.
Neutral-atom scattering factors, no anomalous dispersion.

Main lines, sorted by position (2θ = 10–90°):
2θ 16.23, rel. 23
2θ 21.69, rel. 30
2θ 25.52, rel. 100
2θ 27.21, rel. 21
2θ 32.35, rel. 15
2θ 34.73, rel. 23
2θ 35.19, rel. 16
2θ 37.53, rel. 23
2θ 42.20, rel. 12
2θ 44.65, rel. 13

Atomic structure:
```
data_Sr4CaS4O16
_chemical_formula_sum 'Sr4 Ca1 S4 O16'
_cell_length_a 4.794
_cell_length_b 5.166
_cell_length_c 16.513
_cell_angle_alpha 90.00
_cell_angle_beta 97.04
_cell_angle_gamma 90.00
_space_group_name_H-M_alt 'P 1'
_space_group_IT_number 1
_space_group_name_Hall 'P 1'
loop_
_atom_site_label
_atom_site_type_symbol
_atom_site_fract_x
_atom_site_fract_y
_atom_site_fract_z
_atom_site_occupancy
Sr1 Sr 0.000 0.000 0.000 1
Sr2 Sr 0.056 0.500 0.313 1
Sr3 Sr 0.378 0.500 0.735 1
Sr4 Sr 0.720 0.000 0.563 1
Ca1 Ca 0.509 0.500 0.147 1
S1 S 0.158 0.500 0.538 1
S2 S 0.519 0.000 0.325 1
S3 S 0.551 0.500 0.965 1
S4 S 0.947 0.000 0.764 1
O1 O 0.212 0.000 0.331 1
O2 O 0.251 0.500 0.456 1
O3 O 0.257 0.000 0.763 1
O4 O 0.268 0.265 0.585 1
O5 O 0.268 0.735 0.585 1
O6 O 0.383 0.500 0.885 1
O7 O 0.484 0.266 0.014 1
O8 O 0.484 0.734 0.014 1
O9 O 0.587 0.240 0.279 1
O10 O 0.587 0.760 0.279 1
O11 O 0.685 0.000 0.407 1
O12 O 0.830 0.234 0.717 1
O13 O 0.830 0.766 0.717 1
O14 O 0.846 0.500 0.534 1
O15 O 0.857 0.500 0.959 1
O16 O 0.871 0.000 0.847 1
```



No. 5
# K2ReCl5O
Calculated powder diffraction line list, λ = 1.5418 Å (Cu Kα). Input: a crystal structure in the Materials Project, relaxed with PBE.
Neutral-atom scattering factors, no anomalous dispersion.

Main lines, sorted by position (2θ = 10–90°):
2θ 15.41, rel. 96
2θ 15.71, rel. 100
2θ 17.41, rel. 25
2θ 18.27, rel. 39
2θ 25.34, rel. 41
2θ 29.29, rel. 30
2θ 29.42, rel. 23
2θ 32.46, rel. 32
2θ 35.25, rel. 37
2θ 37.04, rel. 32

Atomic structure:
```
data_K2ReCl5O
_chemical_formula_sum 'K8 Re4 Cl20 O4'
_cell_length_a 13.547
_cell_length_b 10.185
_cell_length_c 6.967
_cell_angle_alpha 90.00
_cell_angle_beta 90.00
_cell_angle_gamma 90.00
_space_group_name_H-M_alt 'P 1'
_space_group_IT_number 1
_space_group_name_Hall 'P 1'
loop_
_atom_site_label
_atom_site_type_symbol
_atom_site_fract_x
_atom_site_fract_y
_atom_site_fract_z
_atom_site_occupancy
K1 K 0.140 0.001 0.180 1
K2 K 0.140 0.499 0.180 1
K3 K 0.360 0.501 0.680 1
K4 K 0.360 0.999 0.680 1
K5 K 0.640 0.001 0.320 1
K6 K 0.640 0.499 0.320 1
K7 K 0.860 0.501 0.820 1
K8 K 0.860 0.999 0.820 1
Re1 Re 0.098 0.750 0.676 1
Re2 Re 0.402 0.250 0.176 1
Re3 Re 0.598 0.750 0.824 1
Re4 Re 0.902 0.250 0.324 1
Cl1 Cl 0.004 0.750 0.969 1
Cl2 Cl 0.111 0.516 0.696 1
Cl3 Cl 0.111 0.984 0.696 1
Cl4 Cl 0.222 0.750 0.432 1
Cl5 Cl 0.245 0.750 0.901 1
Cl6 Cl 0.255 0.250 0.401 1
Cl7 Cl 0.278 0.250 0.932 1
Cl8 Cl 0.389 0.016 0.196 1
Cl9 Cl 0.389 0.484 0.196 1
Cl10 Cl 0.496 0.250 0.469 1
Cl11 Cl 0.504 0.750 0.531 1
Cl12 Cl 0.611 0.516 0.804 1
Cl13 Cl 0.611 0.984 0.804 1
Cl14 Cl 0.722 0.750 0.068 1
Cl15 Cl 0.745 0.750 0.599 1
Cl16 Cl 0.755 0.250 0.099 1
Cl17 Cl 0.778 0.250 0.568 1
Cl18 Cl 0.889 0.016 0.304 1
Cl19 Cl 0.889 0.484 0.304 1
Cl20 Cl 0.996 0.250 0.031 1
O1 O 0.001 0.250 0.474 1
O2 O 0.499 0.750 0.974 1
O3 O 0.501 0.250 0.026 1
O4 O 0.999 0.750 0.526 1
```



No. 6
# NaMgRuO3
Calculated powder diffraction line list, λ = 1.5418 Å (Cu Kα). Input: a crystal structure in the Materials Project, relaxed with PBE.
Neutral-atom scattering factors, no anomalous dispersion.

Main lines, sorted by position (2θ = 10–90°):
2θ 14.49, rel. 100
2θ 22.69, rel. 21
2θ 27.03, rel. 50
2θ 32.31, rel. 32
2θ 35.57, rel. 18
2θ 37.31, rel. 36
2θ 46.34, rel. 24
2θ 48.81, rel. 16
2θ 54.46, rel. 14
2θ 60.94, rel. 17

Atomic structure:
```
data_NaMgRuO3
_chemical_formula_sum 'Na1 Mg1 Ru1 O3'
_cell_length_a 3.919
_cell_length_b 3.919
_cell_length_c 6.113
_cell_angle_alpha 90.00
_cell_angle_beta 90.00
_cell_angle_gamma 90.00
_space_group_name_H-M_alt 'P 1'
_space_group_IT_number 1
_space_group_name_Hall 'P 1'
loop_
_atom_site_label
_atom_site_type_symbol
_atom_site_fract_x
_atom_site_fract_y
_atom_site_fract_z
_atom_site_occupancy
Na1 Na 0.000 0.000 0.000 1
Mg1 Mg 0.000 0.000 0.488 1
Ru1 Ru 0.500 0.500 0.318 1
O1 O 0.000 0.500 0.426 1
O2 O 0.500 0.000 0.426 1
O3 O 0.500 0.500 0.009 1
```



No. 7
# Dy3CuSnSe7
Calculated powder diffraction line list, λ = 1.5418 Å (Cu Kα). Input: a crystal structure in the Materials Project, relaxed with PBE.
Neutral-atom scattering factors, no anomalous dispersion.

Main lines, sorted by position (2θ = 10–90°):
2θ 24.30, rel. 64
2θ 29.19, rel. 35
2θ 30.01, rel. 34
2θ 33.32, rel. 26
2θ 34.16, rel. 60
2θ 35.10, rel. 100
2θ 38.55, rel. 22
2θ 43.15, rel. 17
2θ 45.07, rel. 24
2θ 46.55, rel. 34

Atomic structure:
```
data_Dy3CuSnSe7
_chemical_formula_sum 'Dy6 Cu2 Sn2 Se14'
_cell_length_a 10.225
_cell_length_b 10.225
_cell_length_c 6.519
_cell_angle_alpha 90.00
_cell_angle_beta 90.00
_cell_angle_gamma 120.00
_space_group_name_H-M_alt 'P 1'
_space_group_IT_number 1
_space_group_name_Hall 'P 1'
loop_
_atom_site_label
_atom_site_type_symbol
_atom_site_fract_x
_atom_site_fract_y
_atom_site_fract_z
_atom_site_occupancy
Dy1 Dy 0.154 0.797 0.000 1
Dy2 Dy 0.203 0.358 0.000 1
Dy3 Dy 0.358 0.154 0.500 1
Dy4 Dy 0.642 0.846 0.000 1
Dy5 Dy 0.797 0.642 0.500 1
Dy6 Dy 0.846 0.203 0.500 1
Cu1 Cu 0.000 0.000 0.106 1
Cu2 Cu 0.000 0.000 0.606 1
Sn1 Sn 0.333 0.667 0.429 1
Sn2 Sn 0.667 0.333 0.929 1
Se1 Se 0.078 0.520 0.245 1
Se2 Se 0.119 0.854 0.575 1
Se3 Se 0.146 0.265 0.575 1
Se4 Se 0.265 0.119 0.075 1
Se5 Se 0.333 0.667 0.821 1
Se6 Se 0.442 0.922 0.245 1
Se7 Se 0.480 0.558 0.245 1
Se8 Se 0.520 0.442 0.745 1
Se9 Se 0.558 0.078 0.745 1
Se10 Se 0.667 0.333 0.321 1
Se11 Se 0.735 0.881 0.575 1
Se12 Se 0.854 0.735 0.075 1
Se13 Se 0.881 0.146 0.075 1
Se14 Se 0.922 0.480 0.745 1
```



No. 8
# LiTi4O8
Calculated powder diffraction line list, λ = 1.5418 Å (Cu Kα). Input: a crystal structure in the Materials Project, relaxed with PBE.
Neutral-atom scattering factors, no anomalous dispersion.

Main lines, sorted by position (2θ = 10–90°):
2θ 13.96, rel. 51
2θ 14.84, rel. 46
2θ 24.40, rel. 100
2θ 28.13, rel. 51
2θ 29.11, rel. 37
2θ 32.66, rel. 20
2θ 42.76, rel. 41
2θ 43.52, rel. 36
2θ 47.47, rel. 42
2θ 56.98, rel. 26

Atomic structure:
```
data_LiTi4O8
_chemical_formula_sum 'Li1 Ti4 O8'
_cell_length_a 6.528
_cell_length_b 6.528
_cell_length_c 6.633
_cell_angle_alpha 106.20
_cell_angle_beta 106.20
_cell_angle_gamma 34.12
_space_group_name_H-M_alt 'P 1'
_space_group_IT_number 1
_space_group_name_Hall 'P 1'
loop_
_atom_site_label
_atom_site_type_symbol
_atom_site_fract_x
_atom_site_fract_y
_atom_site_fract_z
_atom_site_occupancy
Li1 Li 0.000 0.000 0.000 1
Ti1 Ti 0.121 0.121 0.707 1
Ti2 Ti 0.219 0.219 0.294 1
Ti3 Ti 0.415 0.415 0.692 1
Ti4 Ti 0.517 0.517 0.296 1
O1 O 0.050 0.050 0.321 1
O2 O 0.167 0.167 0.989 1
O3 O 0.258 0.258 0.629 1
O4 O 0.375 0.375 0.356 1
O5 O 0.459 0.459 0.998 1
O6 O 0.580 0.580 0.639 1
O7 O 0.683 0.683 0.300 1
O8 O 0.953 0.953 0.696 1
```